No. 1
This entry pairs a crystal structure of Dy3SeN2 with its computed powder diffraction line list. Radiation: Cu Kα (weighted mean of Kα1 and Kα2). Structure: a structure optimized by DFT (PBE).
Neutral-atom scattering factors, no anomalous dispersion.

Principal peaks in the range 2θ = 15–90°, sorted by position:
2θ/deg  I/Imax
30.31  61
34.69  100
41.08  18
48.85  18
50.88  33
63.05  17
65.67  17
67.39  16

Structural model:
a = 3.589 Å, b = 3.589 Å, c = 9.321 Å
α = 90.00°, β = 90.00°, γ = 120.00°
Fractional positions:
Dy1 0.000 0.000 0.000
Dy2 0.333 0.667 0.715
Dy3 0.667 0.333 0.285
Se1 0.000 0.000 0.500
N1 0.333 0.667 0.156
N2 0.667 0.333 0.844


No. 2
This entry pairs a crystal structure of Dy2TmCd5 with its computed powder diffraction line list. Radiation: Cu Kα (weighted mean of Kα1 and Kα2). Structure: a structure optimized by DFT (PBE).
Neutral-atom scattering factors, no anomalous dispersion.

Principal peaks in the range 2θ = 15–90°, sorted by position:
2θ/deg  I/Imax
34.30  23
34.70  100
35.39  25
49.65  9
50.11  15
61.70  21
63.09  17
73.22  9

Structural model:
a = 5.073 Å, b = 6.389 Å, c = 6.389 Å
α = 70.16°, β = 90.00°, γ = 90.00°
Fractional positions:
Dy1 0.000 0.000 0.000
Dy2 0.500 0.294 0.294
Tm1 0.500 0.758 0.758
Cd1 0.000 0.002 0.496
Cd2 0.000 0.496 0.002
Cd3 0.000 0.508 0.508
Cd4 0.500 0.269 0.790
Cd5 0.500 0.790 0.269


No. 3
This entry pairs a crystal structure of Li7CdO6 with its computed powder diffraction line list. Radiation: Cu Kα (weighted mean of Kα1 and Kα2). Structure: a structure optimized by DFT (PBE).
Neutral-atom scattering factors, no anomalous dispersion.

Principal peaks in the range 2θ = 15–90°, sorted by position:
2θ/deg  I/Imax
18.11  27
19.30  100
21.98  77
30.54  27
35.74  20
37.03  58
49.47  34
57.07  17

Structural model:
a = 5.867 Å, b = 5.867 Å, c = 5.867 Å
α = 56.91°, β = 56.91°, γ = 56.91°
Fractional positions:
Li1 0.000 0.000 0.000
Li2 0.155 0.437 0.717
Li3 0.186 0.928 0.527
Li4 0.437 0.717 0.155
Li5 0.527 0.186 0.928
Li6 0.717 0.155 0.437
Li7 0.928 0.527 0.186
Cd1 0.658 0.658 0.658
O1 0.035 0.790 0.404
O2 0.257 0.588 0.865
O3 0.404 0.035 0.790
O4 0.588 0.865 0.257
O5 0.790 0.404 0.035
O6 0.865 0.257 0.588


No. 4
This entry pairs a crystal structure of Tm2FeCoGe2C with its computed powder diffraction line list. Radiation: Cu Kα (weighted mean of Kα1 and Kα2). Structure: a structure optimized by DFT (PBE).
Neutral-atom scattering factors, no anomalous dispersion.

Principal peaks in the range 2θ = 15–90°, sorted by position:
2θ/deg  I/Imax
25.28  37
33.95  40
34.47  73
35.24  44
36.68  100
37.17  41
39.82  56
46.76  42

Structural model:
a = 5.634 Å, b = 5.634 Å, c = 6.738 Å
α = 125.13°, β = 125.13°, γ = 40.34°
Fractional positions:
Tm1 0.000 0.000 0.000
Tm2 0.115 0.115 0.575
Fe1 0.363 0.363 0.204
Co1 0.753 0.753 0.374
Ge1 0.398 0.398 0.589
Ge2 0.718 0.718 0.987
C1 0.555 0.555 0.285